Structure and calculated powder XRD pattern of NaGaBr5 (the PBE geometry in Alexandria; Cu Kα X-rays).

Atomic structure:
a = 10.835 Å, b = 8.547 Å, c = 10.395 Å
α = 90.00°, β = 105.01°, γ = 90.00°
Space group C2/c (No. 15)
Inequivalent atoms, fractional coordinates:
Na  0.000  0.074  0.250 [4 per cell]
Ga  0.000  0.500  0.000 [4 per cell]
Br  0.000  0.416  0.250 [4 per cell]
Br  0.006  0.210  0.955 [8 per cell]
Br  0.236  0.485  0.564 [8 per cell]

Peak list (12 most intense, 10 to 90 degrees two-theta, sorted by position)
2θ = 13.38°, rel. 66, (1 1 0); 2θ = 16.94°, rel. 71, (2 0 0); 2θ = 17.67°, rel. 93, (0 0 2); 2θ = 20.38°, rel. 39, (1 1 -2); 2θ = 26.94°, rel. 56, (2 2 0); 2θ = 27.83°, rel. 37, (1 1 -3); 2θ = 29.80°, rel. 44, (2 2 -2); 2θ = 32.57°, rel. 32, (1 3 0); 2θ = 34.28°, rel. 99, (4 0 0); 2θ = 34.83°, rel. 41, (2 2 2); 2θ = 36.16°, rel. 100, (1 3 -2); 2θ = 46.17°, rel. 28, (0 4 2)

=====

Structure and calculated powder XRD pattern of P4Pb3Au (the PBE geometry in Alexandria; Cu Kα X-rays).

Atomic structure:
a = 5.472 Å, b = 10.168 Å, c = 7.611 Å
α = 90.00°, β = 90.00°, γ = 90.00°
Space group Pmmn (No. 59, origin choice 2)
Inequivalent atoms, fractional coordinates:
P  0.056  0.250  0.023 [4 per cell]
P  0.250  0.144  0.419 [4 per cell]
Pb  0.250  0.560  0.776 [4 per cell]
Pb  0.250  0.750  0.422 [2 per cell]
Au  0.250  0.250  0.726 [2 per cell]

Peak list (12 most intense, 10 to 90 degrees two-theta, sorted by position)
2θ = 19.99°, rel. 68, (1 0 1); 2θ = 23.38°, rel. 15, (0 0 2); 2θ = 26.65°, rel. 14, (1 2 1); 2θ = 28.84°, rel. 57, (0 3 1); 2θ = 31.04°, rel. 14, (1 3 0); 2θ = 32.73°, rel. 32, (2 0 0); 2θ = 39.19°, rel. 100, (1 0 3); 2θ = 40.61°, rel. 12, (2 0 2); 2θ = 44.18°, rel. 39, (2 3 1); 2θ = 54.12°, rel. 16, (0 6 0); 2θ = 58.10°, rel. 15, (1 3 4); 2θ = 62.78°, rel. 25, (3 0 3)

=====

Structure and calculated powder XRD pattern of Y5Er3Sb8 (the PBE geometry in Alexandria; Cu Kα X-rays).

Atomic structure:
a = 8.7549 Å, b = 8.7549 Å, c = 21.4455 Å
α = 90.00°, β = 90.00°, γ = 120.00°
Space group R-3m (No. 166, hexagonal axes)
Inequivalent atoms, fractional coordinates:
Y  0.0000  0.0000  0.0000 [3 per cell]
Y  0.0000  0.0000  0.5000 [3 per cell]
Y  0.0000  0.5000  0.0000 [9 per cell]
Er  0.0000  0.5000  0.5000 [9 per cell]
Sb  0.0000  0.0000  0.2491 [6 per cell]
Sb  0.0013  0.5006  0.7506 [18 per cell]

Peak list (12 most intense, 10 to 90 degrees two-theta, sorted by position)
2θ = 12.38°, rel. 4, (0 0 3); 2θ = 23.84°, rel. 3, (0 2 1); 2θ = 28.84°, rel. 100, (0 2 4); 2θ = 31.50°, rel. 1, (2 0 5); 2θ = 37.75°, rel. 1, (0 2 7); 2θ = 41.25°, rel. 75, (2 2 0); 2θ = 43.23°, rel. 1, (2 2 3); 2θ = 51.11°, rel. 27, (4 0 4); 2θ = 59.75°, rel. 12, (0 4 8); 2θ = 67.68°, rel. 34, (2 4 4); 2θ = 75.19°, rel. 25, (6 0 0); 2θ = 89.57°, rel. 8, (4 4 0)

=====

Structure and calculated powder XRD pattern of NdTh2ScSb5 (the PBE geometry in Alexandria; Cu Kα X-rays).

Atomic structure:
a = 5.007 Å, b = 5.007 Å, c = 11.699 Å
α = 90.00°, β = 90.00°, γ = 90.00°
Space group P4/mmm (No. 123)
Inequivalent atoms, fractional coordinates:
Nd  0.000  0.000  0.000 [1 per cell]
Th  0.500  0.500  0.287 [2 per cell]
Sc  0.000  0.000  0.500 [1 per cell]
Sb  0.000  0.000  0.254 [2 per cell]
Sb  0.000  0.500  0.500 [2 per cell]
Sb  0.500  0.500  0.000 [1 per cell]

Peak list (12 most intense, 10 to 90 degrees two-theta, sorted by position)
2θ = 25.15°, rel. 93, (1 1 0); 2θ = 26.30°, rel. 37, (1 1 1); 2θ = 29.49°, rel. 71, (1 1 2); 2θ = 30.57°, rel. 56, (0 0 4); 2θ = 34.21°, rel. 86, (1 1 3); 2θ = 35.87°, rel. 100, (2 0 0); 2θ = 39.98°, rel. 32, (1 1 4); 2θ = 47.82°, rel. 65, (2 0 4); 2θ = 51.63°, rel. 35, (2 2 0); 2θ = 61.20°, rel. 31, (2 2 4); 2θ = 61.34°, rel. 25, (1 1 7); 2θ = 63.40°, rel. 29, (3 1 3)

=====

Structure and calculated powder XRD pattern of PrTa2MnN4 (the PBE geometry in Alexandria; Cu Kα X-rays).

Atomic structure:
a = 3.131 Å, b = 11.033 Å, c = 10.906 Å
α = 90.00°, β = 90.00°, γ = 90.00°
Space group Cmcm (No. 63)
Inequivalent atoms, fractional coordinates:
Pr  0.000  0.107  0.250 [4 per cell]
Ta  0.000  0.369  0.057 [8 per cell]
Mn  0.000  0.159  0.750 [4 per cell]
N  0.000  0.000  0.000 [4 per cell]
N  0.000  0.268  0.609 [8 per cell]
N  0.000  0.442  0.250 [4 per cell]

Peak list (12 most intense, 10 to 90 degrees two-theta, sorted by position)
2θ = 29.42°, rel. 100, (0 2 3); 2θ = 32.46°, rel. 60, (0 4 0); 2θ = 34.00°, rel. 83, (1 1 2); 2θ = 38.66°, rel. 33, (1 3 1); 2θ = 41.33°, rel. 66, (1 3 2); 2θ = 51.75°, rel. 27, (1 1 5); 2θ = 53.52°, rel. 23, (1 5 2); 2θ = 56.05°, rel. 20, (0 6 3); 2θ = 57.00°, rel. 20, (1 5 3); 2θ = 57.25°, rel. 24, (1 3 5); 2θ = 67.32°, rel. 29, (2 2 3); 2θ = 81.32°, rel. 20, (1 3 8)

=====

- Number 1 is which compound?
  NaGaBr5

=====

- Which formula does entry 3 have?
  Y5Er3Sb8